# CsCeVF6
Simulated X-ray diffraction stick pattern, a wavelength of 1.5418 Å. Input: a DFT-relaxed cell (PBE+U, Alexandria).
Neutral-atom scattering factors, no anomalous dispersion.

Structure:
Lattice parameters (Å, degrees): 8.115 8.115 8.115 120.31 116.53 92.79
Fractional positions:
Cs 0.309 0.059 0.250
Cs 0.691 0.941 0.750
Ce 0.000 0.500 0.500
Ce 0.500 0.500 0.000
V 0.000 0.000 0.500
V 0.000 0.500 0.000
F 0.041 0.397 0.205
F 0.041 0.836 0.644
F 0.043 0.793 0.250
F 0.308 0.164 0.705
F 0.308 0.603 0.144
F 0.339 0.589 0.750
F 0.661 0.411 0.250
F 0.692 0.397 0.856
F 0.692 0.836 0.295
F 0.957 0.207 0.750
F 0.959 0.164 0.356
F 0.959 0.603 0.795

Most intense lines, 5 to 70 degrees two-theta, sorted by position:
2θ = 15.84°, I 372; 2θ = 21.99°, I 259; 2θ = 24.90°, I 1000; 2θ = 25.67°, I 181; 2θ = 26.06°, I 202; 2θ = 27.23°, I 445; 2θ = 33.78°, I 224; 2θ = 40.42°, I 225; 2θ = 44.76°, I 151; 2θ = 51.08°, I 165